For K11ClO5, a cell relaxed with GGA-PBE gives the theoretical X-ray diffraction stick pattern in this record (λ = 1.5418 Å (Cu Kα)).
Intensities are scaled so that the largest is 100.

Crystal structure
```
data_K11ClO5
_symmetry_space_group_name_H-M 'C 1 2/m 1'
_symmetry_Int_Tables_number 12
_symmetry_space_group_name_Hall '-C 2y'
_cell_length_a 10.256
_cell_length_b 12.619
_cell_length_c 7.431
_cell_angle_alpha 90.00
_cell_angle_beta 110.23
_cell_angle_gamma 90.00
loop_
_atom_site_label
_atom_site_type_symbol
_atom_site_fract_x
_atom_site_fract_y
_atom_site_fract_z
K1 K 0.000 0.000 0.000
K2 K 0.086 0.224 0.833
K3 K 0.173 0.500 0.829
K4 K 0.205 0.370 0.453
Cl1 Cl 0.000 0.000 0.500
O1 O 0.000 0.500 0.500
O2 O 0.184 0.183 0.197
```

Main lines, sorted by position (2θ = 15–90°):
2θ (°), d_spacing, I/Imax, index
24.99, 3.564, 27, 1 1 -2
25.87, 3.444, 45, 2 0 1
28.72, 3.109, 29, 3 1 0
29.54, 3.024, 29, 2 2 -2
31.12, 2.874, 35, 0 4 1
33.97, 2.639, 100, 2 4 -1
37.89, 2.374, 25, 4 2 -1
38.74, 2.324, 30, 0 0 3

For K2OsCl4O2, a cell relaxed with GGA-PBE gives the theoretical X-ray diffraction stick pattern in this record (λ = 1.5418 Å (Cu Kα)).
Intensities are scaled so that the largest is 100.

Crystal structure
```
data_K2OsCl4O2
_symmetry_space_group_name_H-M 'I 4/m m m'
_symmetry_Int_Tables_number 139
_symmetry_space_group_name_Hall '-I 4 2'
_cell_length_a 7.177
_cell_length_b 7.177
_cell_length_c 8.874
_cell_angle_alpha 90.00
_cell_angle_beta 90.00
_cell_angle_gamma 90.00
loop_
_atom_site_label
_atom_site_type_symbol
_atom_site_fract_x
_atom_site_fract_y
_atom_site_fract_z
K1 K 0.000 0.500 0.250
Os1 Os 0.000 0.000 0.000
Cl1 Cl 0.238 0.238 0.000
O1 O 0.000 0.000 0.198
```

Main lines, sorted by position (2θ = 15–90°):
2θ (°), d_spacing, I/Imax, index
15.88, 5.580, 100, 1 0 1
17.48, 5.075, 17, 1 1 0
20.01, 4.437, 17, 0 0 2
26.69, 3.340, 39, 1 1 2
29.60, 3.018, 36, 2 1 1
35.37, 2.537, 31, 2 2 0
44.86, 2.021, 19, 3 1 2
46.77, 1.942, 15, 3 2 1

For K2PuCl3O3, a cell relaxed with GGA-PBE gives the theoretical X-ray diffraction stick pattern in this record (λ = 1.5418 Å (Cu Kα)).
Intensities are scaled so that the largest is 100.

Crystal structure
```
data_K2PuCl3O3
_symmetry_space_group_name_H-M 'P -6 2 m'
_symmetry_Int_Tables_number 189
_symmetry_space_group_name_Hall 'P -6 -2'
_cell_length_a 8.2877
_cell_length_b 8.2877
_cell_length_c 3.2674
_cell_angle_alpha 90.00
_cell_angle_beta 90.00
_cell_angle_gamma 120.00
loop_
_atom_site_label
_atom_site_type_symbol
_atom_site_fract_x
_atom_site_fract_y
_atom_site_fract_z
K1 K 0.3333 0.6667 0.0000
Pu1 Pu 0.0000 0.0000 0.5000
Cl1 Cl 0.0000 0.3730 0.5000
O1 O 0.0000 0.8302 0.0000
```

Main lines, sorted by position (2θ = 15–90°):
2θ (°), d_spacing, I/Imax, index
21.44, 4.144, 100, 1 1 0
24.81, 3.589, 45, 2 0 0
30.05, 2.974, 56, 1 0 1
33.02, 2.713, 30, 2 1 0
37.22, 2.416, 59, 2 0 1
37.60, 2.392, 45, 3 0 0
43.35, 2.087, 69, 2 1 1
53.94, 1.700, 30, 3 1 1